(1)
Simulated X-ray diffraction stick pattern
Compound: PmPrSbTe
Radiation: CuKα
Structure: DFT lattice parameters and positions (GGA-PBE)
Lines closer than 0.1° are merged.

Most intense lines, 2θ from 15° to 90°, by angle:
| Position (°2θ) | d_spacing | I_rel |
| --- | --- | --- |
| 27.9 | 3.195 | 100 |
| 39.8 | 2.263 | 38 |
| 40.0 | 2.255 | 38 |
| 49.5 | 1.842 | 21 |
| 57.7 | 1.597 | 13 |
| 65.2 | 1.431 | 17 |
| 65.4 | 1.427 | 18 |
| 72.5 | 1.303 | 19 |

Cell and atoms:
```
PmPrSbTe
1.0
2.2553 1.3021 7.4038
-2.2553 1.3021 7.4038
0.0000 -2.6041 7.4038
Pm Pr Sb Te
1 1 1 1
Direct
0.0000 0.0000 0.0000
0.4932 0.4932 0.4932
0.7452 0.7452 0.7452
0.2481 0.2481 0.2481
```


(2)
Simulated X-ray diffraction stick pattern
Compound: CrCu4Pd5
Radiation: CuKα
Structure: DFT lattice parameters and positions (GGA-PBE)
Lines closer than 0.1° are merged.

Most intense lines, 2θ from 15° to 90°, by angle:
| Position (°2θ) | d_spacing | I_rel |
| --- | --- | --- |
| 41.2 | 2.192 | 100 |
| 46.7 | 1.943 | 34 |
| 50.2 | 1.817 | 14 |
| 68.3 | 1.374 | 10 |
| 71.0 | 1.327 | 19 |
| 82.9 | 1.164 | 24 |
| 88.1 | 1.109 | 10 |
| 89.4 | 1.096 | 10 |

Cell and atoms:
```
CrCu4Pd5
1.0
2.7481 0.0000 0.0000
0.0000 2.7481 0.0000
0.0000 0.0000 18.1725
Cr Cu Pd
1 4 5
Direct
0.0000 0.0000 0.0000
0.0000 0.0000 0.2010
0.0000 0.0000 0.4002
0.0000 0.0000 0.5998
0.0000 0.0000 0.7990
0.5000 0.5000 0.0980
0.5000 0.5000 0.3000
0.5000 0.5000 0.5000
0.5000 0.5000 0.7000
0.5000 0.5000 0.9020
```


(3)
Simulated X-ray diffraction stick pattern
Compound: Rb2Cd3H6S3O16
Radiation: CuKα
Structure: DFT lattice parameters and positions (GGA-PBE)
Lines closer than 0.1° are merged.

Most intense lines, 2θ from 15° to 90°, by angle:
| Position (°2θ) | d_spacing | I_rel |
| --- | --- | --- |
| 20.7 | 4.286 | 35 |
| 24.7 | 3.602 | 21 |
| 25.6 | 3.484 | 23 |
| 26.0 | 3.427 | 45 |
| 27.5 | 3.246 | 100 |
| 28.3 | 3.149 | 26 |
| 31.3 | 2.859 | 52 |
| 43.8 | 2.068 | 22 |

Cell and atoms:
```
Rb2Cd3H6S3O16
1.0
9.4033 -4.1554 0.0000
9.4033 4.1554 0.0000
0.0000 0.0000 10.3779
Rb Cd H S O
4 6 12 6 32
Direct
0.1456 0.2277 0.0000
0.2277 0.1456 0.5000
0.7723 0.8544 0.0000
0.8544 0.7723 0.5000
0.1859 0.8141 0.7668
0.3729 0.4392 0.0535
0.4392 0.3729 0.5535
0.5608 0.6271 0.0535
0.6271 0.5608 0.5535
0.8141 0.1859 0.2668
0.0811 0.5712 0.2174
0.1002 0.7121 0.2203
0.2879 0.8998 0.2203
0.4288 0.9189 0.2174
0.4350 0.5650 0.8816
0.4457 0.5543 0.2461
0.5543 0.4457 0.7461
0.5650 0.4350 0.3816
0.5712 0.0811 0.7174
0.7121 0.1002 0.7203
0.8998 0.2879 0.7203
0.9189 0.4288 0.7174
0.1217 0.5172 0.7758
0.1907 0.8093 0.4367
0.4828 0.8783 0.7758
0.5172 0.1217 0.2758
0.8093 0.1907 0.9367
0.8783 0.4828 0.2758
0.0255 0.4754 0.3011
0.0476 0.7027 0.7747
0.0865 0.9135 0.3178
0.0876 0.9124 0.5546
0.1013 0.6362 0.1619
0.1993 0.4341 0.6460
0.2273 0.6421 0.4312
0.2572 0.4115 0.8781
0.2973 0.9524 0.7747
0.3476 0.6524 0.9448
0.3579 0.7727 0.4312
0.3638 0.8987 0.1619
0.4115 0.2572 0.3781
0.4341 0.1993 0.1460
0.4645 0.5355 0.6852
0.4754 0.0255 0.8011
0.5246 0.9745 0.3011
0.5355 0.4645 0.1852
0.5659 0.8007 0.6460
0.5885 0.7428 0.8781
0.6362 0.1013 0.6619
0.6421 0.2273 0.9312
0.6524 0.3476 0.4448
0.7027 0.0476 0.2747
0.7428 0.5885 0.3781
0.7727 0.3579 0.9312
0.8007 0.5659 0.1460
0.8987 0.3638 0.6619
0.9124 0.0876 0.0546
0.9135 0.0865 0.8178
0.9524 0.2973 0.2747
0.9745 0.5246 0.8011
```


(4)
Simulated X-ray diffraction stick pattern
Compound: NdMg5Ni2
Radiation: CuKα
Structure: DFT lattice parameters and positions (GGA-PBE)
Lines closer than 0.1° are merged.

Most intense lines, 2θ from 15° to 90°, by angle:
| Position (°2θ) | d_spacing | I_rel |
| --- | --- | --- |
| 21.9 | 4.065 | 59 |
| 30.4 | 2.940 | 100 |
| 32.3 | 2.773 | 60 |
| 34.3 | 2.612 | 24 |
| 35.0 | 2.563 | 69 |
| 43.0 | 2.104 | 39 |
| 44.1 | 2.055 | 86 |
| 63.3 | 1.470 | 24 |

Cell and atoms:
```
NdMg5Ni2
1.0
-2.0548 4.0645 4.9178
2.0548 -4.0645 4.9178
2.0548 4.0645 -4.9178
Nd Mg Ni
1 5 2
Direct
0.0000 0.0000 0.0000
0.1526 0.3375 0.8150
0.4775 0.6625 0.8150
0.5000 0.0000 0.5000
0.5225 0.3375 0.1850
0.8474 0.6625 0.1850
0.2296 0.7296 0.5000
0.7704 0.2704 0.5000
```


(5)
Simulated X-ray diffraction stick pattern
Compound: InAs2Pd7
Radiation: CuKα
Structure: DFT lattice parameters and positions (GGA-PBE)
Lines closer than 0.1° are merged.

Most intense lines, 2θ from 15° to 90°, by angle:
| Position (°2θ) | d_spacing | I_rel |
| --- | --- | --- |
| 25.5 | 3.492 | 11 |
| 31.0 | 2.881 | 11 |
| 32.3 | 2.773 | 11 |
| 35.8 | 2.506 | 15 |
| 41.1 | 2.194 | 100 |
| 44.5 | 2.038 | 48 |
| 64.7 | 1.441 | 15 |
| 79.6 | 1.205 | 28 |

Cell and atoms:
```
InAs2Pd7
1.0
-2.0381 2.0381 10.1494
2.0381 -2.0381 10.1494
2.0381 2.0381 -10.1494
In As Pd
1 2 7
Direct
0.0000 0.0000 0.0000
0.3280 0.3280 0.0000
0.6720 0.6720 0.0000
0.1005 0.6005 0.5000
0.2500 0.7500 0.5000
0.3995 0.8995 0.5000
0.5000 0.5000 0.0000
0.6005 0.1005 0.5000
0.7500 0.2500 0.5000
0.8995 0.3995 0.5000
```


(6)
Simulated X-ray diffraction stick pattern
Compound: ScUMn5
Radiation: CuKα
Structure: DFT lattice parameters and positions (GGA-PBE)
Lines closer than 0.1° are merged.

Most intense lines, 2θ from 15° to 90°, by angle:
| Position (°2θ) | d_spacing | I_rel |
| --- | --- | --- |
| 20.7 | 4.281 | 64 |
| 22.7 | 3.910 | 100 |
| 31.7 | 2.821 | 41 |
| 35.7 | 2.514 | 42 |
| 39.9 | 2.259 | 57 |
| 42.9 | 2.110 | 50 |
| 43.7 | 2.072 | 69 |
| 46.1 | 1.969 | 75 |

Cell and atoms:
```
ScUMn5
1.0
7.8327 0.0000 0.0000
0.0000 5.0280 0.0000
0.0000 0.0000 10.2244
Sc U Mn
4 4 20
Direct
0.2436 0.2500 0.0700
0.2564 0.7500 0.5700
0.7436 0.2500 0.4300
0.7564 0.7500 0.9300
0.1503 0.2500 0.3823
0.3497 0.7500 0.8823
0.6503 0.2500 0.1177
0.8497 0.7500 0.6177
0.0667 0.2500 0.5826
0.0766 0.7500 0.0238
0.0783 0.5078 0.8034
0.0783 0.9922 0.8034
0.1767 0.7500 0.2416
0.3233 0.2500 0.7416
0.4217 0.0078 0.3034
0.4217 0.4922 0.3034
0.4234 0.2500 0.5238
0.4333 0.7500 0.0826
0.5667 0.2500 0.9174
0.5766 0.7500 0.4762
0.5783 0.5078 0.6966
0.5783 0.9922 0.6966
0.6767 0.7500 0.2584
0.8233 0.2500 0.7584
0.9217 0.0078 0.1966
0.9217 0.4922 0.1966
0.9234 0.2500 0.9762
0.9333 0.7500 0.4174
```